Calculated XRD peak list
Compound: Te4Pb5
Radiation: CuKα
Structure: a crystal structure in Alexandria, relaxed with GGA-PBE
Lines closer than 0.1° are merged.

Top 8 peaks for 10 to 90 degrees two-theta, sorted by position:
2θ = 10.8°, rel. 23.4; 2θ = 30.0°, rel. 100.0; 2θ = 32.7°, rel. 34.2; 2θ = 37.3°, rel. 15.6; 2θ = 38.5°, rel. 14.9; 2θ = 51.4°, rel. 19.5; 2θ = 56.7°, rel. 20.2; 2θ = 64.5°, rel. 14.6

Cell: 8.5369 8.5369 8.5369 Å, 94.30 94.30 148.23°
Element x y z (fractional)
Te 0.0000 0.2827 0.2827
Te 0.0000 0.7173 0.7173
Te 0.2827 0.0000 0.2827
Te 0.7173 0.0000 0.7173
Pb 0.0000 0.0000 0.0000
Pb 0.3331 0.3331 0.6663
Pb 0.3331 0.6669 0.0000
Pb 0.6669 0.3331 0.0000
Pb 0.6669 0.6669 0.3337